[1]
La4PmSm4: computed powder diffraction line list (Cu Kα), based on a crystal structure in Alexandria, relaxed with PBE.
No peak broadening, texture or thermal motion is included.

Cell and atoms:
```
data_La4PmSm4
_space_group_name_H-M_alt 'I 4/m m m'
_space_group_IT_number 139
_space_group_name_Hall '-I 4 2'
_cell_length_a 11.027
_cell_length_b 11.027
_cell_length_c 5.228
_cell_angle_alpha 90.00
_cell_angle_beta 90.00
_cell_angle_gamma 90.00
loop_
_atom_site_label
_atom_site_type_symbol
_atom_site_fract_x
_atom_site_fract_y
_atom_site_fract_z
La1 La 0.167 0.167 0.000
Pm1 Pm 0.000 0.000 0.500
Sm1 Sm 0.000 0.335 0.500
```

Most intense lines, 2θ from 10° to 90°, sorted by position:
2θ/deg  I (rel.)  h k l
29.71  100  3 0 1
34.31  17  0 0 2
34.51  34  3 3 0
49.45  24  3 3 2
49.60  12  6 0 0
58.63  15  3 0 3
58.90  29  6 3 1
61.70  12  6 0 2
80.29  12  6 3 3
80.52  6  9 0 1

=====

[2]
BaMg6Pb12: computed powder diffraction line list (Cu Kα), based on a crystal structure in Alexandria, relaxed with PBE.
No peak broadening, texture or thermal motion is included.

Cell and atoms:
```
data_BaMg6Pb12
_space_group_name_H-M_alt 'I m -3'
_space_group_IT_number 204
_space_group_name_Hall '-I 2 2 3'
_cell_length_a 10.439
_cell_length_b 10.439
_cell_length_c 10.439
_cell_angle_alpha 90.00
_cell_angle_beta 90.00
_cell_angle_gamma 90.00
loop_
_atom_site_label
_atom_site_type_symbol
_atom_site_fract_x
_atom_site_fract_y
_atom_site_fract_z
Ba1 Ba 0.000 0.000 0.000
Mg1 Mg 0.000 0.141 0.500
Pb1 Pb 0.000 0.280 0.187
```

Most intense lines, 2θ from 10° to 90°, sorted by position:
2θ/deg  I (rel.)  h k l
24.11  26  2 2 0
27.01  54  3 0 1
29.65  74  2 2 2
32.08  100  3 1 2
34.36  33  4 0 0
38.57  23  4 2 0
51.01  48  5 3 0
54.16  46  5 2 3
62.96  24  5 3 4
78.88  16  7 0 5

=====

[3]
Zn3Cu8Si: computed powder diffraction line list (Cu Kα), based on a crystal structure in Alexandria, relaxed with PBE.
No peak broadening, texture or thermal motion is included.

Cell and atoms:
```
data_Zn3Cu8Si
_space_group_name_H-M_alt 'P 1'
_space_group_IT_number 1
_space_group_name_Hall 'P 1'
_cell_length_a 4.497
_cell_length_b 5.221
_cell_length_c 6.920
_cell_angle_alpha 78.86
_cell_angle_beta 77.16
_cell_angle_gamma 73.30
loop_
_atom_site_label
_atom_site_type_symbol
_atom_site_fract_x
_atom_site_fract_y
_atom_site_fract_z
Zn1 Zn 0.000 0.000 0.000
Zn2 Zn 0.010 0.159 0.338
Zn3 Zn 0.485 0.495 0.497
Cu1 Cu 0.014 0.497 0.999
Cu2 Cu 0.496 0.162 0.833
Cu3 Cu 0.499 0.988 0.509
Cu4 Cu 0.505 0.330 0.164
Cu5 Cu 0.509 0.826 0.164
Cu6 Cu 0.984 0.334 0.670
Cu7 Cu 0.995 0.664 0.334
Cu8 Cu 0.997 0.828 0.673
Si1 Si 0.517 0.656 0.841
```

Most intense lines, 2θ from 10° to 90°, sorted by position:
2θ/deg  I (rel.)  h k l
42.34  100  0 2 2
42.61  98  1 2 -1
49.45  92  1 0 -3
72.17  9  1 2 5
72.45  18  1 4 1
72.58  18  -2 2 2
87.62  21  -1 4 1
87.76  11  0 4 -2
88.00  10  3 4 1
88.17  15  2 2 -4

=====

[4]
TbPr2Au: computed powder diffraction line list (Cu Kα), based on a crystal structure in Alexandria, relaxed with PBE.
No peak broadening, texture or thermal motion is included.

Cell and atoms:
```
data_TbPr2Au
_space_group_name_H-M_alt 'P 1'
_space_group_IT_number 1
_space_group_name_Hall 'P 1'
_cell_length_a 3.803
_cell_length_b 3.808
_cell_length_c 10.218
_cell_angle_alpha 89.93
_cell_angle_beta 89.92
_cell_angle_gamma 60.23
loop_
_atom_site_label
_atom_site_type_symbol
_atom_site_fract_x
_atom_site_fract_y
_atom_site_fract_z
Tb1 Tb 0.000 0.000 0.000
Pr1 Pr 0.000 0.000 0.591
Pr2 Pr 0.333 0.338 0.294
Au1 Au 0.667 0.665 0.807
```

Most intense lines, 2θ from 10° to 90°, sorted by position:
2θ/deg  I (rel.)  h k l
28.41  68  1 1 1
28.50  13  1 1 -1
32.28  100  0 1 -2
32.37  17  1 1 -2
35.13  18  0 0 4
37.95  52  1 0 3
47.63  15  1 -1 0
47.80  30  2 1 0
52.66  20  1 0 5
60.57  11  1 2 4

=====

[5]
Np4Au: computed powder diffraction line list (Cu Kα), based on a crystal structure in Alexandria, relaxed with PBE.
No peak broadening, texture or thermal motion is included.

Cell and atoms:
```
data_Np4Au
_space_group_name_H-M_alt 'P m -3 m'
_space_group_IT_number 221
_space_group_name_Hall '-P 4 2 3'
_cell_length_a 5.544
_cell_length_b 5.544
_cell_length_c 5.544
_cell_angle_alpha 90.00
_cell_angle_beta 90.00
_cell_angle_gamma 90.00
loop_
_atom_site_label
_atom_site_type_symbol
_atom_site_fract_x
_atom_site_fract_y
_atom_site_fract_z
Np1 Np 0.000 0.000 0.000
Np2 Np 0.000 0.500 0.500
Au1 Au 0.500 0.500 0.500
```

Most intense lines, 2θ from 10° to 90°, sorted by position:
2θ/deg  I (rel.)  h k l
15.99  16  1 0 0
22.68  15  1 1 0
27.88  81  1 1 1
32.30  100  2 0 0
46.33  75  2 2 0
54.93  39  3 1 1
57.60  27  2 2 2
74.63  16  3 3 1
76.91  35  4 2 0
85.89  27  4 2 2

=====

[6]
Tb12Pm7Mg: computed powder diffraction line list (Cu Kα), based on a crystal structure in Alexandria, relaxed with PBE.
No peak broadening, texture or thermal motion is included.

Cell and atoms:
```
data_Tb12Pm7Mg
_space_group_name_H-M_alt 'R -3'
_space_group_IT_number 148
_space_group_name_Hall '-R 3'
_cell_length_a 12.0167
_cell_length_b 12.0167
_cell_length_c 16.0327
_cell_angle_alpha 90.00
_cell_angle_beta 90.00
_cell_angle_gamma 120.00
loop_
_atom_site_label
_atom_site_type_symbol
_atom_site_fract_x
_atom_site_fract_y
_atom_site_fract_z
Tb1 Tb 0.0329 0.4559 0.2179
Tb2 Tb 0.0538 0.5843 0.5840
Pm1 Pm 0.0000 0.0000 0.0000
Pm2 Pm 0.0579 0.1877 0.2916
Mg1 Mg 0.0000 0.0000 0.5000
```

Most intense lines, 2θ from 10° to 90°, sorted by position:
2θ/deg  I (rel.)  h k l
22.26  17  1 1 3
29.14  22  0 1 5
30.73  46  0 3 3
31.49  100  4 -3 1
31.88  49  2 1 4
32.81  30  2 0 5
32.98  44  3 1 2
51.15  14  3 -2 8
52.91  15  5 -4 6
54.87  15  3 4 2

=====

[7]
LaMgTe2: computed powder diffraction line list (Cu Kα), based on a crystal structure in Alexandria, relaxed with PBE.
No peak broadening, texture or thermal motion is included.

Cell and atoms:
```
data_LaMgTe2
_space_group_name_H-M_alt 'P 1 2/m 1'
_space_group_IT_number 10
_space_group_name_Hall '-P 2y'
_cell_length_a 4.084
_cell_length_b 3.968
_cell_length_c 7.755
_cell_angle_alpha 90.00
_cell_angle_beta 102.90
_cell_angle_gamma 90.00
loop_
_atom_site_label
_atom_site_type_symbol
_atom_site_fract_x
_atom_site_fract_y
_atom_site_fract_z
La1 La 0.000 0.000 0.000
Mg1 Mg 0.500 0.000 0.500
Te1 Te 0.400 0.500 0.756
```

Most intense lines, 2θ from 10° to 90°, sorted by position:
2θ/deg  I (rel.)  h k l
11.71  48  0 0 1
27.56  42  1 0 1
28.71  37  1 0 -2
31.84  62  1 1 0
32.18  63  1 1 -1
32.72  100  0 1 2
36.24  23  1 0 2
37.75  22  1 0 -3
45.73  20  0 2 0
48.15  17  0 0 4

=====

[8]
La2TaCd: computed powder diffraction line list (Cu Kα), based on a crystal structure in Alexandria, relaxed with PBE.
No peak broadening, texture or thermal motion is included.

Cell and atoms:
```
data_La2TaCd
_space_group_name_H-M_alt 'I m m 2'
_space_group_IT_number 44
_space_group_name_Hall 'I 2 -2'
_cell_length_a 3.366
_cell_length_b 5.565
_cell_length_c 11.873
_cell_angle_alpha 90.00
_cell_angle_beta 90.00
_cell_angle_gamma 90.00
loop_
_atom_site_label
_atom_site_type_symbol
_atom_site_fract_x
_atom_site_fract_y
_atom_site_fract_z
La1 La 0.000 0.000 0.000
La2 La 0.000 0.500 0.202
Ta1 Ta 0.000 0.500 0.738
Cd1 Cd 0.000 0.000 0.437
```

Most intense lines, 2θ from 10° to 90°, sorted by position:
2θ/deg  I (rel.)  h k l
27.66  8  0 1 3
30.11  27  0 0 4
32.17  34  0 2 0
34.61  100  1 1 2
41.34  9  0 1 5
44.64  18  0 2 4
56.41  10  1 1 6
58.94  21  1 3 2
64.72  9  2 2 0
73.02  8  2 2 4

=====

What did the eighth record say?
La2TaCd: computed powder diffraction line list (Cu Kα), based on a crystal structure in Alexandria, relaxed with PBE.
No peak broadening, texture or thermal motion is included.

Cell and atoms:
```
data_La2TaCd
_space_group_name_H-M_alt 'I m m 2'
_space_group_IT_number 44
_space_group_name_Hall 'I 2 -2'
_cell_length_a 3.366
_cell_length_b 5.565
_cell_length_c 11.873
_cell_angle_alpha 90.00
_cell_angle_beta 90.00
_cell_angle_gamma 90.00
loop_
_atom_site_label
_atom_site_type_symbol
_atom_site_fract_x
_atom_site_fract_y
_atom_site_fract_z
La1 La 0.000 0.000 0.000
La2 La 0.000 0.500 0.202
Ta1 Ta 0.000 0.500 0.738
Cd1 Cd 0.000 0.000 0.437
```

Most intense lines, 2θ from 10° to 90°, sorted by position:
2θ/deg  I (rel.)  h k l
27.66  8  0 1 3
30.11  27  0 0 4
32.17  34  0 2 0
34.61  100  1 1 2
41.34  9  0 1 5
44.64  18  0 2 4
56.41  10  1 1 6
58.94  21  1 3 2
64.72  9  2 2 0
73.02  8  2 2 4